1.
Simulated powder XRD pattern of Tb4CeTm2 for λ = 1.5418 Å (Cu Kα), from the PBE geometry in Alexandria.
Kinematic intensities with the Lorentz-polarization factor, no thermal factor.

Crystal structure
Unit cell a=6.171 b=3.558 c=20.062 alpha=90.00 beta=96.07 gamma=90.00
Fractional coordinates of all 14 atoms:
Tb 0.000 0.000 0.000
Tb 0.023 0.500 0.566
Tb 0.092 0.000 0.282
Tb 0.120 0.500 0.856
Tb 0.500 0.500 0.000
Tb 0.523 0.000 0.566
Tb 0.592 0.500 0.282
Tb 0.620 0.000 0.856
Ce 0.401 0.500 0.711
Ce 0.901 0.000 0.711
Tm 0.216 0.500 0.141
Tm 0.306 0.500 0.425
Tm 0.716 0.000 0.141
Tm 0.806 0.000 0.425

Largest 10 diffraction maxima, by angle, 2θ from 5° to 70°:
2θ = 29.0°, d 3.079, rel. 348
2θ = 31.4°, d 2.850, rel. 580
2θ = 32.7°, d 2.741, rel. 1000
2θ = 33.4°, d 2.682, rel. 919
2θ = 42.1°, d 2.147, rel. 136
2θ = 51.3°, d 1.780, rel. 404
2θ = 56.3°, d 1.635, rel. 143
2θ = 61.3°, d 1.512, rel. 160
2θ = 61.5°, d 1.509, rel. 316
2θ = 62.2°, d 1.493, rel. 162


2.
Simulated powder XRD pattern of TbCeTm6 for λ = 1.5418 Å (Cu Kα), from the PBE geometry in Alexandria.
Kinematic intensities with the Lorentz-polarization factor, no thermal factor.

Crystal structure
Unit cell a=6.400 b=6.677 c=6.823 alpha=118.33 beta=103.54 gamma=90.61
Fractional coordinates of all 8 atoms:
Tb 0.000 0.000 0.000
Ce 0.500 0.000 0.000
Tm 0.234 0.573 0.481
Tm 0.251 0.548 0.002
Tm 0.270 0.096 0.525
Tm 0.730 0.904 0.475
Tm 0.749 0.452 0.998
Tm 0.766 0.427 0.519

Largest 10 diffraction maxima, by angle, 2θ from 5° to 70°:
2θ = 29.0°, d 3.084, rel. 530
2θ = 30.7°, d 2.909, rel. 417
2θ = 30.9°, d 2.891, rel. 1000
2θ = 31.1°, d 2.873, rel. 584
2θ = 32.1°, d 2.788, rel. 288
2θ = 32.6°, d 2.743, rel. 248
2θ = 34.8°, d 2.575, rel. 530
2θ = 36.0°, d 2.497, rel. 190
2θ = 36.2°, d 2.483, rel. 191
2θ = 59.9°, d 1.544, rel. 187


3.
Simulated powder XRD pattern of Tb4CeTm6 for λ = 1.5418 Å (Cu Kα), from the PBE geometry in Alexandria.
Kinematic intensities with the Lorentz-polarization factor, no thermal factor.

Crystal structure
Unit cell a=5.568 b=5.568 c=25.469 alpha=90.00 beta=90.00 gamma=119.78
Fractional coordinates of all 22 atoms:
Tb 0.003 0.997 0.622
Tb 0.003 0.997 0.878
Tb 0.334 0.666 0.542
Tb 0.334 0.666 0.958
Tb 0.666 0.334 0.042
Tb 0.666 0.334 0.458
Tb 0.997 0.003 0.122
Tb 0.997 0.003 0.378
Ce 0.331 0.669 0.250
Ce 0.669 0.331 0.750
Tm 0.000 0.000 0.000
Tm 0.000 0.000 0.500
Tm 0.002 0.998 0.750
Tm 0.331 0.669 0.103
Tm 0.331 0.669 0.397
Tm 0.336 0.664 0.682
Tm 0.336 0.664 0.818
Tm 0.664 0.336 0.182
Tm 0.664 0.336 0.318
Tm 0.669 0.331 0.603
Tm 0.669 0.331 0.897
Tm 0.998 0.002 0.250

Largest 10 diffraction maxima, by angle, 2θ from 5° to 70°:
2θ = 30.8°, d 2.906, rel. 978
2θ = 32.0°, d 2.793, rel. 505
2θ = 32.2°, d 2.784, rel. 1000
2θ = 33.7°, d 2.658, rel. 466
2θ = 45.0°, d 2.013, rel. 238
2θ = 56.5°, d 1.630, rel. 238
2θ = 57.2°, d 1.611, rel. 196
2θ = 58.3°, d 1.582, rel. 129
2θ = 60.8°, d 1.523, rel. 194
2θ = 67.3°, d 1.392, rel. 120


4.
Simulated powder XRD pattern of Tb2CeTm6 for λ = 1.5418 Å (Cu Kα), from the PBE geometry in Alexandria.
Kinematic intensities with the Lorentz-polarization factor, no thermal factor.

Crystal structure
Unit cell a=6.163 b=5.600 c=16.378 alpha=90.00 beta=100.71 gamma=90.00
Fractional coordinates of all 18 atoms:
Tb 0.000 0.250 0.167
Tb 0.000 0.750 0.833
Tb 0.451 0.750 0.721
Tb 0.549 0.250 0.279
Ce 0.218 0.750 0.279
Ce 0.782 0.250 0.721
Tm 0.109 0.750 0.056
Tm 0.112 0.250 0.389
Tm 0.222 0.250 0.611
Tm 0.330 0.750 0.498
Tm 0.336 0.250 0.834
Tm 0.445 0.250 0.055
Tm 0.555 0.750 0.945
Tm 0.664 0.750 0.166
Tm 0.670 0.250 0.502
Tm 0.778 0.750 0.389
Tm 0.888 0.750 0.611
Tm 0.891 0.250 0.944

Largest 10 diffraction maxima, by angle, 2θ from 5° to 70°:
2θ = 28.9°, d 3.093, rel. 234
2θ = 29.0°, d 3.081, rel. 121
2θ = 32.0°, d 2.800, rel. 364
2θ = 33.1°, d 2.708, rel. 1000
2θ = 33.2°, d 2.700, rel. 490
2θ = 43.6°, d 2.075, rel. 233
2θ = 51.1°, d 1.788, rel. 98
2θ = 57.7°, d 1.598, rel. 307
2θ = 61.5°, d 1.507, rel. 112
2θ = 61.7°, d 1.503, rel. 222


5.
Simulated powder XRD pattern of Tb4CeTm for λ = 1.5418 Å (Cu Kα), from the PBE geometry in Alexandria.
Kinematic intensities with the Lorentz-polarization factor, no thermal factor.

Crystal structure
Unit cell a=18.384 b=3.535 c=6.126 alpha=90.00 beta=109.31 gamma=90.00
Fractional coordinates of all 12 atoms:
Tb 0.165 0.000 0.334
Tb 0.166 0.500 0.828
Tb 0.334 0.000 0.172
Tb 0.335 0.500 0.666
Tb 0.665 0.500 0.334
Tb 0.666 0.000 0.828
Tb 0.834 0.500 0.172
Tb 0.835 0.000 0.666
Ce 0.000 0.000 0.500
Ce 0.500 0.500 0.500
Tm 0.000 0.500 0.000
Tm 0.500 0.000 0.000

Largest 8 diffraction maxima, by angle, 2θ from 5° to 70°:
2θ = 31.0°, d 2.889, rel. 1000
2θ = 35.9°, d 2.502, rel. 505
2θ = 51.6°, d 1.771, rel. 120
2θ = 51.7°, d 1.768, rel. 239
2θ = 61.4°, d 1.511, rel. 107
2θ = 61.5°, d 1.508, rel. 318
2θ = 64.5°, d 1.445, rel. 92
2θ = 64.6°, d 1.443, rel. 30


6.
Simulated powder XRD pattern of Tb3CeTm8 for λ = 1.5418 Å (Cu Kα), from the PBE geometry in Alexandria.
Kinematic intensities with the Lorentz-polarization factor, no thermal factor.

Crystal structure
Unit cell a=9.309 b=9.309 c=9.309 alpha=131.97 beta=131.97 gamma=70.28
Fractional coordinates of all 12 atoms:
Tb 0.000 0.000 0.000
Tb 0.250 0.750 0.500
Tb 0.750 0.250 0.500
Ce 0.500 0.500 0.000
Tm 0.128 0.128 0.504
Tm 0.128 0.624 0.000
Tm 0.376 0.376 0.504
Tm 0.376 0.872 0.000
Tm 0.624 0.128 0.000
Tm 0.624 0.624 0.496
Tm 0.872 0.376 0.000
Tm 0.872 0.872 0.496

Largest 10 diffraction maxima, by angle, 2θ from 5° to 70°:
2θ = 20.3°, d 4.381, rel. 228
2θ = 23.4°, d 3.806, rel. 57
2θ = 23.5°, d 3.789, rel. 113
2θ = 33.4°, d 2.683, rel. 1000
2θ = 39.4°, d 2.286, rel. 83
2θ = 41.2°, d 2.191, rel. 53
2θ = 47.8°, d 1.903, rel. 61
2θ = 48.0°, d 1.894, rel. 121
2θ = 59.6°, d 1.551, rel. 127
2θ = 59.7°, d 1.548, rel. 253


7.
Simulated powder XRD pattern of Tb6Ce2Tm5 for λ = 1.5418 Å (Cu Kα), from the PBE geometry in Alexandria.
Kinematic intensities with the Lorentz-polarization factor, no thermal factor.

Crystal structure
Unit cell a=11.536 b=20.077 c=3.557 alpha=90.00 beta=90.00 gamma=90.00
Fractional coordinates of all 26 atoms:
Tb 0.064 0.074 0.000
Tb 0.078 0.362 0.000
Tb 0.178 0.628 0.500
Tb 0.322 0.128 0.500
Tb 0.422 0.862 0.000
Tb 0.436 0.574 0.000
Tb 0.564 0.426 0.000
Tb 0.578 0.138 0.000
Tb 0.678 0.872 0.500
Tb 0.822 0.372 0.500
Tb 0.922 0.638 0.000
Tb 0.936 0.926 0.000
Ce 0.173 0.780 0.000
Ce 0.327 0.280 0.000
Ce 0.673 0.720 0.000
Ce 0.827 0.220 0.000
Tm 0.000 0.500 0.500
Tm 0.087 0.219 0.500
Tm 0.198 0.941 0.500
Tm 0.302 0.441 0.500
Tm 0.413 0.719 0.500
Tm 0.500 0.000 0.500
Tm 0.587 0.281 0.500
Tm 0.698 0.559 0.500
Tm 0.802 0.059 0.500
Tm 0.913 0.781 0.500

Largest 10 diffraction maxima, by angle, 2θ from 5° to 70°:
2θ = 31.3°, d 2.855, rel. 624
2θ = 31.8°, d 2.815, rel. 500
2θ = 32.2°, d 2.782, rel. 826
2θ = 32.5°, d 2.759, rel. 1000
2θ = 34.6°, d 2.592, rel. 456
2θ = 35.6°, d 2.525, rel. 291
2θ = 37.0°, d 2.433, rel. 265
2θ = 51.4°, d 1.779, rel. 234
2θ = 53.0°, d 1.729, rel. 223
2θ = 61.9°, d 1.498, rel. 287


8.
Simulated powder XRD pattern of Tb5Ce2Tm4 for λ = 1.5418 Å (Cu Kα), from the PBE geometry in Alexandria.
Kinematic intensities with the Lorentz-polarization factor, no thermal factor.

Crystal structure
Unit cell a=11.594 b=11.594 c=8.665 alpha=96.91 beta=96.91 gamma=17.25
Fractional coordinates of all 11 atoms:
Tb 0.000 0.000 0.000
Tb 0.264 0.264 0.180
Tb 0.463 0.463 0.651
Tb 0.537 0.537 0.349
Tb 0.736 0.736 0.820
Ce 0.314 0.314 0.562
Ce 0.686 0.686 0.438
Tm 0.099 0.099 0.701
Tm 0.369 0.369 0.946
Tm 0.631 0.631 0.054
Tm 0.901 0.901 0.299

Largest 10 diffraction maxima, by angle, 2θ from 5° to 70°:
2θ = 30.6°, d 2.920, rel. 1000
2θ = 31.2°, d 2.864, rel. 1000
2θ = 31.9°, d 2.804, rel. 897
2θ = 33.3°, d 2.690, rel. 496
2θ = 33.3°, d 2.687, rel. 784
2θ = 33.7°, d 2.662, rel. 254
2θ = 37.4°, d 2.407, rel. 555
2θ = 52.6°, d 1.739, rel. 359
2θ = 62.5°, d 1.487, rel. 277
2θ = 62.9°, d 1.478, rel. 260


9.
Simulated powder XRD pattern of Tb2CeY for λ = 1.5418 Å (Cu Kα), from the PBE geometry in Alexandria.
Kinematic intensities with the Lorentz-polarization factor, no thermal factor.

Crystal structure
Unit cell a=23.059 b=3.420 c=6.430 alpha=90.00 beta=94.12 gamma=90.00
Fractional coordinates of all 16 atoms:
Tb 0.123 0.000 0.037
Tb 0.125 0.500 0.537
Tb 0.375 0.000 0.463
Tb 0.377 0.500 0.963
Tb 0.623 0.500 0.037
Tb 0.625 0.000 0.537
Tb 0.875 0.500 0.463
Tb 0.877 0.000 0.963
Ce 0.002 0.500 0.211
Ce 0.498 0.000 0.789
Ce 0.502 0.000 0.211
Ce 0.998 0.500 0.789
Y 0.250 0.000 0.744
Y 0.250 0.500 0.256
Y 0.750 0.000 0.256
Y 0.750 0.500 0.744

Largest 10 diffraction maxima, by angle, 2θ from 5° to 70°:
2θ = 30.0°, d 2.979, rel. 381
2θ = 30.9°, d 2.891, rel. 815
2θ = 31.1°, d 2.875, rel. 1000
2θ = 32.2°, d 2.776, rel. 909
2θ = 32.9°, d 2.719, rel. 732
2θ = 35.0°, d 2.563, rel. 814
2θ = 50.2°, d 1.816, rel. 440
2θ = 59.7°, d 1.549, rel. 439
2θ = 60.8°, d 1.523, rel. 256
2θ = 63.2°, d 1.471, rel. 469


10.
Simulated powder XRD pattern of Tb6CeY4 for λ = 1.5418 Å (Cu Kα), from the PBE geometry in Alexandria.
Kinematic intensities with the Lorentz-polarization factor, no thermal factor.

Crystal structure
Unit cell a=5.609 b=5.609 c=25.787 alpha=90.00 beta=90.00 gamma=118.39
Fractional coordinates of all 22 atoms:
Tb 0.000 0.000 0.000
Tb 0.000 0.000 0.500
Tb 0.029 0.971 0.750
Tb 0.305 0.695 0.103
Tb 0.305 0.695 0.397
Tb 0.365 0.635 0.682
Tb 0.365 0.635 0.818
Tb 0.635 0.365 0.182
Tb 0.635 0.365 0.318
Tb 0.695 0.305 0.603
Tb 0.695 0.305 0.897
Tb 0.971 0.029 0.250
Ce 0.305 0.695 0.250
Ce 0.695 0.305 0.750
Y 0.035 0.965 0.622
Y 0.035 0.965 0.878
Y 0.345 0.655 0.542
Y 0.345 0.655 0.958
Y 0.655 0.345 0.042
Y 0.655 0.345 0.458
Y 0.965 0.035 0.122
Y 0.965 0.035 0.378

Largest 10 diffraction maxima, by angle, 2θ from 5° to 70°:
2θ = 30.3°, d 2.952, rel. 784
2θ = 30.5°, d 2.926, rel. 538
2θ = 31.1°, d 2.872, rel. 698
2θ = 31.9°, d 2.803, rel. 1000
2θ = 32.1°, d 2.787, rel. 307
2θ = 33.2°, d 2.699, rel. 471
2θ = 44.2°, d 2.050, rel. 389
2θ = 55.9°, d 1.645, rel. 201
2θ = 56.2°, d 1.637, rel. 148
2θ = 57.5°, d 1.602, rel. 230


11.
Simulated powder XRD pattern of Tb3Ce2Y8 for λ = 1.5418 Å (Cu Kα), from the PBE geometry in Alexandria.
Kinematic intensities with the Lorentz-polarization factor, no thermal factor.

Crystal structure
Unit cell a=11.638 b=20.865 c=3.493 alpha=90.00 beta=90.00 gamma=90.00
Fractional coordinates of all 26 atoms:
Tb 0.000 0.000 0.000
Tb 0.156 0.300 0.000
Tb 0.344 0.800 0.000
Tb 0.500 0.500 0.000
Tb 0.656 0.200 0.000
Tb 0.844 0.700 0.000
Ce 0.179 0.905 0.500
Ce 0.321 0.405 0.500
Ce 0.679 0.595 0.500
Ce 0.821 0.095 0.500
Y 0.046 0.162 0.000
Y 0.048 0.429 0.500
Y 0.124 0.711 0.500
Y 0.211 0.553 0.000
Y 0.289 0.053 0.000
Y 0.376 0.211 0.500
Y 0.452 0.929 0.500
Y 0.454 0.662 0.000
Y 0.546 0.338 0.000
Y 0.548 0.071 0.500
Y 0.624 0.789 0.500
Y 0.711 0.947 0.000
Y 0.789 0.447 0.000
Y 0.876 0.289 0.500
Y 0.952 0.571 0.500
Y 0.954 0.838 0.000

Largest 10 diffraction maxima, by angle, 2θ from 5° to 70°:
2θ = 11.4°, d 7.768, rel. 478
2θ = 30.1°, d 2.965, rel. 778
2θ = 31.0°, d 2.887, rel. 544
2θ = 31.5°, d 2.841, rel. 911
2θ = 31.8°, d 2.816, rel. 1000
2θ = 31.9°, d 2.803, rel. 309
2θ = 33.4°, d 2.684, rel. 435
2θ = 34.8°, d 2.576, rel. 812
2θ = 36.5°, d 2.465, rel. 426
2θ = 62.4°, d 1.488, rel. 324


12.
Simulated powder XRD pattern of Tb2CeY5 for λ = 1.5418 Å (Cu Kα), from the PBE geometry in Alexandria.
Kinematic intensities with the Lorentz-polarization factor, no thermal factor.

Crystal structure
Unit cell a=7.141 b=14.289 c=5.037 alpha=90.00 beta=90.00 gamma=90.00
Fractional coordinates of all 16 atoms:
Tb 0.246 0.124 0.000
Tb 0.254 0.624 0.000
Tb 0.746 0.376 0.000
Tb 0.754 0.876 0.000
Ce 0.000 0.000 0.500
Ce 0.500 0.500 0.500
Y 0.000 0.249 0.500
Y 0.000 0.500 0.500
Y 0.000 0.751 0.500
Y 0.246 0.876 0.000
Y 0.254 0.376 0.000
Y 0.500 0.000 0.500
Y 0.500 0.251 0.500
Y 0.500 0.749 0.500
Y 0.746 0.624 0.000
Y 0.754 0.124 0.000

Largest 10 diffraction maxima, by angle, 2θ from 5° to 70°:
2θ = 17.6°, d 5.048, rel. 47
2θ = 25.0°, d 3.567, rel. 42
2θ = 30.7°, d 2.913, rel. 1000
2θ = 35.6°, d 2.525, rel. 335
2θ = 35.7°, d 2.518, rel. 167
2θ = 43.9°, d 2.060, rel. 20
2θ = 51.2°, d 1.784, rel. 351
2θ = 60.8°, d 1.522, rel. 275
2θ = 61.0°, d 1.519, rel. 137
2θ = 63.9°, d 1.457, rel. 118